# YMoCl
Calculated powder XRD pattern, Cu Ka. Input: a structure optimized by DFT (PBE).
Kinematic intensities with the Lorentz-polarization factor, no thermal factor.

The 6 most intense peaks (2θ = 10–90°), low angle first:
| 2θ/deg | Rel. int. | hkl |
| --- | --- | --- |
| 12.9 | 25 | 0 0 1 |
| 32.8 | 100 | 0 1 1 |
| 39.3 | 16 | 0 0 3 |
| 40.1 | 57 | 1 0 2 |
| 53.3 | 24 | 1 1 0 |
| 68.2 | 19 | 1 1 3 |

Crystal structure
```
YMoCl
1.0
3.437 0.000 0.000
-1.718 2.976 0.000
0.000 0.000 6.880
Y Mo Cl
1 1 1
Cartesian
0.000 0.000 0.000 Y
1.718 0.992 4.676 Mo
0.000 1.984 1.980 Cl
```